[1]
This entry pairs a crystal structure of Rb2Ag2GeI6 with its theoretical powder diffractogram. Radiation: Cu Kα X-rays. Structure: a GGA-PBE-relaxed structure.

Top 10 peaks for 2θ = 5–70°, in order of rising 2θ:
2θ (°)	I_rel	h k l
14.66	52	1 1 -1
20.56	37	3 1 -1
24.05	100	1 1 -2
24.35	41	2 2 -1
24.49	62	0 0 2
24.86	80	2 2 0
29.56	88	2 2 -2
31.63	40	4 2 -1
41.73	88	4 2 1
41.95	46	0 4 0

Structure:
```
data_Rb2Ag2GeI6
_chemical_formula_sum 'Rb4 Ag4 Ge2 I12'
_cell_length_a 15.0601
_cell_length_b 8.6147
_cell_length_c 8.4941
_cell_angle_alpha 90.00
_cell_angle_beta 121.13
_cell_angle_gamma 90.00
_symmetry_space_group_name_H-M 'C 1 2/m 1'
_symmetry_Int_Tables_number 12
_symmetry_space_group_name_Hall '-C 2y'
loop_
_atom_site_label
_atom_site_fract_x
_atom_site_fract_y
_atom_site_fract_z
Rb1 0.2415 0.0000 0.2059
Ag1 0.0579 0.5000 0.2079
Ge1 0.0000 0.0000 0.5000
I1 0.0543 0.2401 0.7986
I2 0.2277 0.0000 0.6252
```



[2]
This entry pairs a crystal structure of Tl2Ag2GeI6 with its theoretical powder diffractogram. Radiation: Cu Kα X-rays. Structure: a GGA-PBE-relaxed structure.

Top 10 peaks for 2θ = 5–70°, in order of rising 2θ:
2θ (°)	I_rel	h k l
20.73	62	3 1 -1
24.91	98	1 1 -2
25.12	100	2 2 0
25.31	36	3 1 -2
25.46	39	0 0 2
30.26	68	2 2 -2
31.41	35	2 2 1
31.90	42	4 2 -1
35.13	37	4 2 0
42.42	98	0 4 0

Structure:
```
data_Tl2Ag2GeI6
_chemical_formula_sum 'Tl4 Ag4 Ge2 I12'
_cell_length_a 14.9463
_cell_length_b 8.5273
_cell_length_c 8.1966
_cell_angle_alpha 90.00
_cell_angle_beta 121.38
_cell_angle_gamma 90.00
_symmetry_space_group_name_H-M 'C 1 2/m 1'
_symmetry_Int_Tables_number 12
_symmetry_space_group_name_Hall '-C 2y'
loop_
_atom_site_label
_atom_site_fract_x
_atom_site_fract_y
_atom_site_fract_z
Tl1 0.2455 0.0000 0.1882
Ag1 0.0614 0.5000 0.2135
Ge1 0.0000 0.0000 0.5000
I1 0.0644 0.2453 0.8102
I2 0.2223 0.0000 0.5890
```



[3]
This entry pairs a crystal structure of InAg2Ge with its theoretical powder diffractogram. Radiation: Cu Kα X-rays. Structure: a GGA-PBE-relaxed structure.

Top 10 peaks for 2θ = 5–70°, in order of rising 2θ:
2θ (°)	I_rel	h k l
29.31	5	1 0 1
36.99	100	1 0 2
37.55	49	1 1 0
38.71	2	0 0 3
52.45	8	0 0 4
54.16	16	2 0 0
55.03	3	1 1 3
66.28	15	1 1 4
67.40	32	2 1 2
68.54	1	2 0 3

Structure:
```
data_InAg2Ge
_chemical_formula_sum 'In1 Ag2 Ge1'
_cell_length_a 3.3870
_cell_length_b 3.3870
_cell_length_c 6.9787
_cell_angle_alpha 90.00
_cell_angle_beta 90.00
_cell_angle_gamma 90.00
_symmetry_space_group_name_H-M 'P 4/m m m'
_symmetry_Int_Tables_number 123
_symmetry_space_group_name_Hall '-P 4 2'
loop_
_atom_site_label
_atom_site_fract_x
_atom_site_fract_y
_atom_site_fract_z
In1 0.0000 0.0000 0.0000
Ag1 0.5000 0.5000 0.2692
Ge1 0.0000 0.0000 0.5000
```



[4]
This entry pairs a crystal structure of InAgGe with its theoretical powder diffractogram. Radiation: Cu Kα X-rays. Structure: a GGA-PBE-relaxed structure.

Top 10 peaks for 2θ = 5–70°, in order of rising 2θ:
2θ (°)	I_rel	h k l
31.91	100	1 0 1
32.08	77	1 0 -2
34.90	32	0 2 0
39.52	16	1 -2 0
39.62	16	1 2 -1
40.07	28	1 -2 1
40.27	28	1 2 -2
41.42	17	0 1 2
42.85	17	0 1 -3
44.74	39	2 0 -1

Structure:
```
data_InAgGe
_chemical_formula_sum 'In2 Ag2 Ge2'
_cell_length_a 4.0510
_cell_length_b 5.6122
_cell_length_c 6.6374
_cell_angle_alpha 112.43
_cell_angle_beta 107.41
_cell_angle_gamma 90.21
_symmetry_space_group_name_H-M 'P 1'
_symmetry_Int_Tables_number 1
_symmetry_space_group_name_Hall 'P 1'
loop_
_atom_site_label
_atom_site_fract_x
_atom_site_fract_y
_atom_site_fract_z
In1 0.0000 0.0000 0.0000
In2 0.3770 0.4015 0.7505
Ag1 0.3172 0.8535 0.6362
Ag2 0.6912 0.0168 0.3797
Ge1 0.0704 0.5680 0.1407
Ge2 0.6852 0.4971 0.3790
```



[5]
This entry pairs a crystal structure of InAgGe with its theoretical powder diffractogram. Radiation: Cu Kα X-rays. Structure: a GGA-PBE-relaxed structure.

Top 10 peaks for 2θ = 5–70°, in order of rising 2θ:
2θ (°)	I_rel	h k l
30.89	70	1 0 2
31.23	68	1 1 -1
31.52	100	1 0 -1
32.21	96	1 1 2
34.09	43	1 -1 1
35.47	49	1 2 0
39.18	54	1 -1 2
39.64	56	0 2 1
43.02	72	0 0 3
43.25	87	2 1 1

Structure:
```
data_InAgGe
_chemical_formula_sum 'In2 Ag2 Ge2'
_cell_length_a 4.1870
_cell_length_b 5.3528
_cell_length_c 6.6515
_cell_angle_alpha 87.03
_cell_angle_beta 71.85
_cell_angle_gamma 69.37
_symmetry_space_group_name_H-M 'P 1'
_symmetry_Int_Tables_number 1
_symmetry_space_group_name_Hall 'P 1'
loop_
_atom_site_label
_atom_site_fract_x
_atom_site_fract_y
_atom_site_fract_z
In1 0.0000 0.0000 0.0000
In2 0.4665 0.3687 0.6490
Ag1 0.3018 0.9678 0.3884
Ag2 0.7415 0.8021 0.6780
Ge1 0.0908 0.4980 0.2997
Ge2 0.6844 0.5627 0.0509
```



[6]
This entry pairs a crystal structure of InAg2GeS4 with its theoretical powder diffractogram. Radiation: Cu Kα X-rays. Structure: a GGA-PBE-relaxed structure.

Top 10 peaks for 2θ = 5–70°, in order of rising 2θ:
2θ (°)	I_rel	h k l
26.53	100	1 1 2
30.38	15	2 0 0
31.39	7	0 0 4
43.50	20	2 2 0
44.25	37	2 0 4
51.68	30	3 1 2
52.99	14	1 1 6
54.62	6	2 2 4
63.22	6	4 0 0
69.80	6	3 3 2

Structure:
```
data_InAg2GeS4
_chemical_formula_sum 'In2 Ag4 Ge2 S8'
_cell_length_a 5.8837
_cell_length_b 5.8837
_cell_length_c 11.3982
_cell_angle_alpha 90.00
_cell_angle_beta 90.00
_cell_angle_gamma 90.00
_symmetry_space_group_name_H-M 'I -4'
_symmetry_Int_Tables_number 82
_symmetry_space_group_name_Hall 'I -4'
loop_
_atom_site_label
_atom_site_fract_x
_atom_site_fract_y
_atom_site_fract_z
In1 0.0000 0.0000 0.0000
Ag1 0.0000 0.0000 0.5000
Ag2 0.0000 0.5000 0.7500
Ge1 0.0000 0.5000 0.2500
S1 0.2352 0.7434 0.1288
```



[7]
This entry pairs a crystal structure of In4Ag3Ge4Se16 with its theoretical powder diffractogram. Radiation: Cu Kα X-rays. Structure: a GGA-PBE-relaxed structure.

Top 10 peaks for 2θ = 5–70°, in order of rising 2θ:
2θ (°)	I_rel	h k l
17.13	13	1 1 2
26.86	100	2 0 4
28.50	11	1 1 6
35.25	15	3 1 2
43.78	24	4 0 0
44.98	45	2 2 8
47.34	5	3 3 2
52.11	27	4 2 4
54.21	12	2 0 12
63.64	7	4 4 0

Structure:
```
data_In4Ag3Ge4Se16
_chemical_formula_sum 'In8 Ag6 Ge8 Se32'
_cell_length_a 8.2711
_cell_length_b 8.2711
_cell_length_c 22.2503
_cell_angle_alpha 90.00
_cell_angle_beta 90.00
_cell_angle_gamma 90.00
_symmetry_space_group_name_H-M 'I -4'
_symmetry_Int_Tables_number 82
_symmetry_space_group_name_Hall 'I -4'
loop_
_atom_site_label
_atom_site_fract_x
_atom_site_fract_y
_atom_site_fract_z
In1 0.2424 0.2496 0.1284
Ag1 0.0000 0.5000 0.5034
Ag2 0.0000 0.5000 0.7500
Ge1 0.0000 0.0000 0.0000
Ge2 0.0000 0.0000 0.2489
Ge3 0.0000 0.0000 0.5000
Se1 0.0164 0.7485 0.1967
Se2 0.0222 0.2369 0.4364
Se3 0.0242 0.7658 0.6850
Se4 0.0264 0.2307 0.9338
```



[8]
This entry pairs a crystal structure of InAg2GeSe4 with its theoretical powder diffractogram. Radiation: Cu Kα X-rays. Structure: a GGA-PBE-relaxed structure.

Top 10 peaks for 2θ = 5–70°, in order of rising 2θ:
2θ (°)	I_rel	h k l
23.48	100	2 1 0
24.17	59	0 2 0
25.71	92	0 0 2
26.81	75	2 1 1
35.09	37	2 1 2
40.84	50	4 0 0
42.11	89	2 3 0
46.01	86	2 1 3
46.40	38	0 2 3
49.98	66	2 3 2

Structure:
```
data_InAg2GeSe4
_chemical_formula_sum 'In2 Ag4 Ge2 Se8'
_cell_length_a 8.8388
_cell_length_b 7.3642
_cell_length_c 6.9304
_cell_angle_alpha 90.00
_cell_angle_beta 90.00
_cell_angle_gamma 90.00
_symmetry_space_group_name_H-M 'P m n 21'
_symmetry_Int_Tables_number 31
_symmetry_space_group_name_Hall 'P 2ac -2'
loop_
_atom_site_label
_atom_site_fract_x
_atom_site_fract_y
_atom_site_fract_z
In1 0.0000 0.1608 0.0000
Ag1 0.2501 0.3187 0.5125
Ge1 0.0000 0.8284 0.4962
Se1 0.0000 0.1520 0.3866
Se2 0.0000 0.8269 0.8611
Se3 0.2471 0.6705 0.3964
```



[9]
This entry pairs a crystal structure of KAgGe with its theoretical powder diffractogram. Radiation: Cu Kα X-rays. Structure: a GGA-PBE-relaxed structure.

Top 10 peaks for 2θ = 5–70°, in order of rising 2θ:
2θ (°)	I_rel	h k l
11.74	100	2 0 0
19.85	16	1 1 0
29.46	36	3 1 -1
35.40	19	5 1 0
36.10	59	3 1 1
38.44	41	0 2 0
40.33	20	0 0 2
45.30	21	5 1 1
55.49	13	2 2 -2
68.00	17	3 3 1

Structure:
```
data_KAgGe
_chemical_formula_sum 'K4 Ag4 Ge4'
_cell_length_a 15.7841
_cell_length_b 4.6840
_cell_length_c 4.6839
_cell_angle_alpha 90.00
_cell_angle_beta 107.23
_cell_angle_gamma 90.00
_symmetry_space_group_name_H-M 'C 1 2 1'
_symmetry_Int_Tables_number 5
_symmetry_space_group_name_Hall 'C 2y'
loop_
_atom_site_label
_atom_site_fract_x
_atom_site_fract_y
_atom_site_fract_z
K1 0.1724 0.0000 0.1720
Ag1 0.0000 0.0010 0.5000
Ag2 0.0000 0.4988 0.0000
Ge1 0.0909 0.5008 0.5907
```



[10]
This entry pairs a crystal structure of K2AgGeO4 with its theoretical powder diffractogram. Radiation: Cu Kα X-rays. Structure: a GGA-PBE-relaxed structure.

Top 10 peaks for 2θ = 5–70°, in order of rising 2θ:
2θ (°)	I_rel	h k l
19.15	48	1 0 1
28.84	54	2 0 0
32.80	100	1 1 2
34.85	13	2 1 1
41.23	28	2 2 0
53.66	47	3 1 2
60.91	18	2 0 4
67.66	12	2 4 0
68.76	10	2 2 4
69.84	9	3 3 2

Structure:
```
data_K2AgGeO4
_chemical_formula_sum 'K4 Ag2 Ge2 O8'
_cell_length_a 6.1925
_cell_length_b 6.1925
_cell_length_c 6.9850
_cell_angle_alpha 90.00
_cell_angle_beta 90.00
_cell_angle_gamma 90.00
_symmetry_space_group_name_H-M 'I -4'
_symmetry_Int_Tables_number 82
_symmetry_space_group_name_Hall 'I -4'
loop_
_atom_site_label
_atom_site_fract_x
_atom_site_fract_y
_atom_site_fract_z
K1 0.0000 0.0000 0.0000
K2 0.0000 0.5000 0.2500
Ag1 0.0000 0.0000 0.5000
Ge1 0.0000 0.5000 0.7500
O1 0.1410 0.6943 0.6064
```



[11]
This entry pairs a crystal structure of KAg2GeTe4 with its theoretical powder diffractogram. Radiation: Cu Kα X-rays. Structure: a GGA-PBE-relaxed structure.

Top 10 peaks for 2θ = 5–70°, in order of rising 2θ:
2θ (°)	I_rel	h k l
15.15	16	1 0 1
19.29	19	0 0 2
25.52	100	1 1 2
28.07	30	2 1 1
33.46	42	2 2 0
42.55	41	3 1 2
42.79	13	1 1 4
46.17	26	2 0 4
46.59	13	3 0 3
50.66	16	4 1 1

Structure:
```
data_KAg2GeTe4
_chemical_formula_sum 'K2 Ag4 Ge2 Te8'
_cell_length_a 7.5756
_cell_length_b 7.5756
_cell_length_c 9.2005
_cell_angle_alpha 90.00
_cell_angle_beta 90.00
_cell_angle_gamma 90.00
_symmetry_space_group_name_H-M 'I -4 2 m'
_symmetry_Int_Tables_number 121
_symmetry_space_group_name_Hall 'I -4 2'
loop_
_atom_site_label
_atom_site_fract_x
_atom_site_fract_y
_atom_site_fract_z
K1 0.0000 0.0000 0.0000
Ag1 0.0000 0.5000 0.2500
Ge1 0.0000 0.0000 0.5000
Te1 0.2019 0.2019 0.6604
```



[12]
This entry pairs a crystal structure of La4AgGe2 with its theoretical powder diffractogram. Radiation: Cu Kα X-rays. Structure: a GGA-PBE-relaxed structure.

Top 10 peaks for 2θ = 5–70°, in order of rising 2θ:
2θ (°)	I_rel	h k l
25.57	71	0 1 5
30.09	31	1 0 7
34.77	100	1 1 0
38.11	42	1 0 10
41.01	12	0 1 11
43.65	17	2 0 5
52.53	16	0 2 10
56.97	15	1 2 5
62.33	18	3 0 0
64.54	17	2 1 10

Structure:
```
data_La4AgGe2
_chemical_formula_sum 'La12 Ag3 Ge6'
_cell_length_a 5.1608
_cell_length_b 5.1608
_cell_length_c 27.8131
_cell_angle_alpha 90.00
_cell_angle_beta 90.00
_cell_angle_gamma 120.00
_symmetry_space_group_name_H-M 'R -3 m'
_symmetry_Int_Tables_number 166
_symmetry_space_group_name_Hall '-R 3 2"'
loop_
_atom_site_label
_atom_site_fract_x
_atom_site_fract_y
_atom_site_fract_z
La1 0.0000 0.0000 0.1197
La2 0.0000 0.0000 0.2944
Ag1 0.0000 0.0000 0.5000
Ge1 0.0000 0.0000 0.4068
```



[13]
This entry pairs a crystal structure of La8AgGe2 with its theoretical powder diffractogram. Radiation: Cu Kα X-rays. Structure: a GGA-PBE-relaxed structure.

Top 10 peaks for 2θ = 5–70°, in order of rising 2θ:
2θ (°)	I_rel	h k l
29.97	100	0 4 1
30.94	46	1 1 -2
31.05	66	3 1 -1
32.62	37	2 0 1
33.13	29	0 0 2
33.45	47	2 4 0
33.87	21	2 2 -2
35.11	37	1 5 -1
38.35	20	3 3 0
61.94	20	2 8 1

Structure:
```
data_La8AgGe2
_chemical_formula_sum 'La16 Ag2 Ge4'
_cell_length_a 8.8645
_cell_length_b 14.2980
_cell_length_c 5.9220
_cell_angle_alpha 90.00
_cell_angle_beta 114.11
_cell_angle_gamma 90.00
_symmetry_space_group_name_H-M 'C 1 m 1'
_symmetry_Int_Tables_number 8
_symmetry_space_group_name_Hall 'C -2y'
loop_
_atom_site_label
_atom_site_fract_x
_atom_site_fract_y
_atom_site_fract_z
La1 0.0000 0.0000 0.0000
La2 0.0829 0.3855 0.7550
La3 0.1974 0.1184 0.6532
La4 0.2904 0.5000 0.3814
La5 0.4690 0.2368 0.2179
Ag1 0.3977 0.0000 0.1927
Ge1 0.3706 0.3047 0.6526
```



[14]
This entry pairs a crystal structure of La3Ag7Ge4 with its theoretical powder diffractogram. Radiation: Cu Kα X-rays. Structure: a GGA-PBE-relaxed structure.

Top 10 peaks for 2θ = 5–70°, in order of rising 2θ:
2θ (°)	I_rel	h k l
33.26	70	1 1 2
33.57	94	5 1 -2
33.84	31	3 1 -3
34.10	54	6 0 -3
36.54	33	5 1 -3
38.61	16	5 1 0
39.75	100	0 2 0
42.42	20	3 1 -4
43.06	17	1 1 3
57.49	23	6 2 0

Structure:
```
data_La3Ag7Ge4
_chemical_formula_sum 'La6 Ag14 Ge8'
_cell_length_a 16.6478
_cell_length_b 4.5365
_cell_length_c 9.7895
_cell_angle_alpha 90.00
_cell_angle_beta 125.25
_cell_angle_gamma 90.00
_symmetry_space_group_name_H-M 'C 1 2/m 1'
_symmetry_Int_Tables_number 12
_symmetry_space_group_name_Hall '-C 2y'
loop_
_atom_site_label
_atom_site_fract_x
_atom_site_fract_y
_atom_site_fract_z
La1 0.0000 0.0000 0.0000
La2 0.1990 0.5000 0.7024
Ag1 0.0000 0.0000 0.5000
Ag2 0.0082 0.5000 0.3096
Ag3 0.1508 0.0000 0.4173
Ag4 0.1683 0.5000 0.0161
Ge1 0.1251 0.0000 0.8378
Ge2 0.1586 0.5000 0.2768
```